# 1
For La2HfF8, the PBE geometry in OQMD gives the simulated X-ray powder pattern in this record (Cu Kα, 1.54184 Å).
Lines closer than 0.1° are merged.

Principal peaks in the range 2θ = 5–70°, sorted by position:
| two_theta | I/Imax | (hkl) |
| --- | --- | --- |
| 19.4 | 7 | 1 0 1 |
| 25.4 | 81 | 1 1 0 |
| 28.7 | 100 | 1 0 3 |
| 36.3 | 25 | 2 0 0 |
| 41.4 | 4 | 1 2 1 |
| 45.3 | 12 | 0 0 6 |
| 46.9 | 77 | 1 2 3 |
| 52.2 | 11 | 2 2 0 |
| 52.7 | 23 | 1 1 6 |
| 58.9 | 18 | 1 3 0 |
| 59.4 | 14 | 2 0 6 |
| 60.7 | 15 | 3 0 3 |

Cell and atoms:
```
data_La2HfF8
_symmetry_space_group_name_H-M 'I -4'
_symmetry_Int_Tables_number 82
_cell_length_a 4.955
_cell_length_b 4.955
_cell_length_c 12.010
_cell_angle_alpha 90.00
_cell_angle_beta 90.00
_cell_angle_gamma 90.00
loop_
_symmetry_equiv_pos_as_xyz
'x,y,z'
'y,-x,-z'
'-x,-y,z'
'-y,x,-z'
'x+1/2,y+1/2,z+1/2'
'y+1/2,-x+1/2,-z+1/2'
'-x+1/2,-y+1/2,z+1/2'
'-y+1/2,x+1/2,-z+1/2'
loop_
_atom_site_label
_atom_site_fract_x
_atom_site_fract_y
_atom_site_fract_z
La1 0.000 0.000 0.174
Hf1 0.000 0.000 0.500
F1 0.067 0.243 0.347
F2 0.158 0.697 0.963
```

# 2
For NaHf2ZnF11, the PBE geometry in OQMD gives the simulated X-ray powder pattern in this record (Cu Kα, 1.54184 Å).
Lines closer than 0.1° are merged.

Principal peaks in the range 2θ = 5–70°, sorted by position:
| two_theta | I/Imax | (hkl) |
| --- | --- | --- |
| 17.5 | 99 | 1 1 0 |
| 22.3 | 100 | 2 0 0 |
| 25.7 | 17 | 2 0 -2 |
| 26.1 | 16 | 0 0 2 |
| 27.1 | 99 | 1 1 -2 |
| 27.3 | 50 | 0 2 0 |
| 35.1 | 22 | 3 1 -2 |
| 35.5 | 22 | 2 2 0 |
| 35.7 | 25 | 1 1 2 |
| 45.5 | 34 | 4 0 0 |
| 48.1 | 33 | 1 3 -2 |
| 53.8 | 35 | 4 2 0 |

Cell and atoms:
```
data_NaHf2ZnF11
_symmetry_space_group_name_H-M 'C 1 2/m 1'
_symmetry_Int_Tables_number 12
_cell_length_a 8.905
_cell_length_b 6.545
_cell_length_c 7.612
_cell_angle_alpha 90.00
_cell_angle_beta 116.39
_cell_angle_gamma 90.00
loop_
_symmetry_equiv_pos_as_xyz
'x,y,z'
'-x,-y,-z'
'-x,y,-z'
'x,-y,z'
'x+1/2,y+1/2,z'
'-x+1/2,-y+1/2,-z'
'-x+1/2,y+1/2,-z'
'x+1/2,-y+1/2,z'
loop_
_atom_site_label
_atom_site_fract_x
_atom_site_fract_y
_atom_site_fract_z
Na1 0.000 0.000 0.000
Hf1 0.004 0.500 0.233
Zn1 0.000 0.000 0.500
F1 0.000 0.326 0.000
F2 0.000 0.500 0.500
F3 0.020 0.201 0.309
F4 0.239 0.500 0.898
F5 0.248 0.000 0.657
```